Diffraction record for YUSN2. The powder diffractogram is computed, not measured: it uses a cell relaxed with PBE and Cu Kα (λ = 1.5418 Å).
Neutral-atom scattering factors, no anomalous dispersion.

Cell and atoms:
```
data_YUSN2
_cell_length_a 3.786
_cell_length_b 3.786
_cell_length_c 11.964
_cell_angle_alpha 90.00
_cell_angle_beta 90.00
_cell_angle_gamma 90.00
_space_group_name_H-M_alt 'I 4 m m'
_space_group_IT_number 107
_space_group_name_Hall 'I 4 -2'
loop_
_atom_site_label
_atom_site_fract_x
_atom_site_fract_y
_atom_site_fract_z
Y1 0.000 0.000 0.000
U1 0.000 0.000 0.308
S1 0.000 0.000 0.652
N1 0.000 0.500 0.393
```

Peak list (10 most intense, 2θ = 10–80°, low angle first)
(hkl), Position (°2θ), intensity
0 0 2, 14.81, 38
1 0 1, 24.66, 57
1 0 3, 32.61, 100
1 1 0, 33.47, 41
0 0 6, 45.47, 28
2 0 0, 48.07, 20
2 1 1, 54.76, 14
1 1 6, 57.64, 27
2 1 3, 59.30, 47
3 0 3, 79.71, 17



Diffraction record for Y5SN4. The powder diffractogram is computed, not measured: it uses a cell relaxed with PBE and Cu Kα (λ = 1.5418 Å).
Neutral-atom scattering factors, no anomalous dispersion.

Cell and atoms:
```
data_Y5SN4
_cell_length_a 3.598
_cell_length_b 3.598
_cell_length_c 25.058
_cell_angle_alpha 90.00
_cell_angle_beta 90.00
_cell_angle_gamma 90.00
_space_group_name_H-M_alt 'I 4/m m m'
_space_group_IT_number 139
_space_group_name_Hall '-I 4 2'
loop_
_atom_site_label
_atom_site_fract_x
_atom_site_fract_y
_atom_site_fract_z
Y1 0.000 0.000 0.000
Y2 0.000 0.000 0.202
Y3 0.000 0.000 0.391
S1 0.000 0.000 0.500
N1 0.000 0.000 0.104
N2 0.000 0.000 0.298
```

Peak list (10 most intense, 2θ = 10–80°, low angle first)
(hkl), Position (°2θ), intensity
1 0 5, 30.58, 100
1 1 0, 35.28, 82
0 0 10, 35.84, 33
2 0 0, 50.74, 26
1 1 10, 51.16, 45
2 1 5, 60.42, 30
1 0 15, 61.17, 11
2 0 10, 63.67, 22
1 0 17, 68.85, 4
2 2 0, 74.60, 8